# Li9Mn2Co5O16
Calculated powder diffractogram, Cu Ka. Input: a crystal structure in the Materials Project, relaxed with PBE+U.
Lines closer than 0.1° are merged.

Most intense lines, 5° ≤ 2θ ≤ 70°, sorted by position:
- 18.5°, d 4.795, I 100
- 35.7°, d 2.517, I 16
- 43.1°, d 2.100, I 29
- 44.2°, d 2.050, I 27
- 44.3°, d 2.045, I 27
- 63.3°, d 1.469, I 15

Crystal structure
a b c (Å): 5.766 5.849 10.119
angles (deg): 74.50 73.55 60.58
Element x y z (fractional)
Li 0.000 0.000 0.000
Li 0.244 0.754 0.248
Li 0.244 0.756 0.755
Li 0.245 0.248 0.756
Li 0.252 0.253 0.244
Li 0.748 0.747 0.756
Li 0.755 0.752 0.244
Li 0.756 0.244 0.245
Li 0.756 0.246 0.752
Mn 0.500 0.500 0.000
Mn 0.500 0.500 0.500
Co 0.000 0.000 0.500
Co 0.000 0.500 0.000
Co 0.000 0.500 0.500
Co 0.500 0.000 0.000
Co 0.500 0.000 0.500
O 0.133 0.112 0.620
O 0.136 0.610 0.112
O 0.139 0.152 0.104
O 0.142 0.626 0.615
O 0.357 0.404 0.883
O 0.382 0.852 0.383
O 0.384 0.374 0.384
O 0.391 0.858 0.893
O 0.609 0.142 0.107
O 0.616 0.626 0.616
O 0.618 0.148 0.617
O 0.643 0.596 0.117
O 0.858 0.374 0.385
O 0.861 0.848 0.896
O 0.864 0.390 0.888
O 0.867 0.888 0.380

=====

# Fe10O9F11
Calculated powder diffractogram, Cu Ka. Input: a crystal structure in the Materials Project, relaxed with PBE+U.
Lines closer than 0.1° are merged.

Most intense lines, 5° ≤ 2θ ≤ 70°, sorted by position:
- 25.6°, d 3.477, I 100
- 27.2°, d 3.282, I 92
- 34.6°, d 2.594, I 99
- 51.2°, d 1.784, I 61
- 52.9°, d 1.730, I 37
- 66.0°, d 1.415, I 20

Crystal structure
a b c (Å): 4.780 4.782 15.449
angles (deg): 90.03 90.12 93.31
Element x y z (fractional)
Fe 0.000 0.000 0.000
Fe 0.000 0.001 0.193
Fe 0.018 0.038 0.397
Fe 0.029 0.029 0.791
Fe 0.061 0.060 0.600
Fe 0.479 0.561 0.701
Fe 0.496 0.587 0.097
Fe 0.518 0.527 0.492
Fe 0.529 0.539 0.305
Fe 0.539 0.535 0.889
O 0.195 0.844 0.096
O 0.212 0.856 0.696
O 0.314 0.344 0.801
O 0.327 0.339 0.395
O 0.338 0.361 0.597
O 0.697 0.721 0.994
O 0.698 0.723 0.197
O 0.716 0.740 0.796
O 0.717 0.729 0.398
F 0.207 0.841 0.899
F 0.216 0.832 0.288
F 0.229 0.844 0.504
F 0.305 0.330 0.997
F 0.306 0.332 0.194
F 0.727 0.756 0.597
F 0.813 0.223 0.095
F 0.819 0.232 0.285
F 0.826 0.222 0.900
F 0.829 0.239 0.696
F 0.829 0.242 0.506

=====

# Li2NbFe3O8
Calculated powder diffractogram, Cu Ka. Input: a crystal structure in the Materials Project, relaxed with PBE+U.
Lines closer than 0.1° are merged.

Most intense lines, 5° ≤ 2θ ≤ 70°, sorted by position:
- 18.0°, d 4.940, I 100
- 34.4°, d 2.610, I 19
- 34.7°, d 2.587, I 32
- 36.4°, d 2.470, I 12
- 42.1°, d 2.147, I 57
- 60.6°, d 1.528, I 18

Crystal structure
a b c (Å): 6.043 6.043 6.115
angles (deg): 119.67 119.67 59.84
Element x y z (fractional)
Li 0.130 0.130 0.390
Li 0.870 0.870 0.610
Nb 0.500 0.500 0.500
Fe 0.000 0.500 0.000
Fe 0.500 0.000 0.000
Fe 0.500 0.500 0.000
O 0.264 0.264 0.247
O 0.265 0.718 0.248
O 0.268 0.268 0.801
O 0.282 0.735 0.752
O 0.718 0.265 0.248
O 0.732 0.732 0.199
O 0.735 0.282 0.752
O 0.736 0.736 0.753

=====

# V3CrP6O24
Calculated powder diffractogram, Cu Ka. Input: a crystal structure in the Materials Project, relaxed with PBE+U.
Lines closer than 0.1° are merged.

Most intense lines, 5° ≤ 2θ ≤ 70°, sorted by position:
- 14.5°, d 6.102, I 42
- 20.3°, d 4.367, I 54
- 20.8°, d 4.264, I 24
- 24.2°, d 3.672, I 100
- 29.3°, d 3.051, I 45
- 32.5°, d 2.755, I 26

Crystal structure
a b c (Å): 8.740 8.740 8.740
angles (deg): 58.40 58.40 58.40
Element x y z (fractional)
V 0.000 0.000 0.000
V 0.219 0.219 0.219
V 0.499 0.499 0.499
Cr 0.718 0.718 0.718
P 0.108 0.828 0.393
P 0.329 0.610 0.892
P 0.393 0.108 0.828
P 0.610 0.892 0.329
P 0.828 0.393 0.108
P 0.892 0.329 0.610
O 0.076 0.289 0.436
O 0.084 0.855 0.216
O 0.143 0.787 0.922
O 0.148 0.999 0.357
O 0.216 0.084 0.855
O 0.289 0.436 0.076
O 0.291 0.646 0.416
O 0.355 0.583 0.718
O 0.357 0.148 0.999
O 0.416 0.291 0.646
O 0.436 0.076 0.289
O 0.497 0.631 0.875
O 0.574 0.940 0.803
O 0.583 0.718 0.355
O 0.631 0.875 0.497
O 0.646 0.416 0.291
O 0.718 0.355 0.583
O 0.787 0.922 0.143
O 0.803 0.574 0.940
O 0.855 0.216 0.084
O 0.875 0.497 0.631
O 0.922 0.143 0.787
O 0.940 0.803 0.574
O 0.999 0.357 0.148

=====

# CaW2O4
Calculated powder diffractogram, Cu Ka. Input: a crystal structure in the Materials Project, relaxed with PBE+U.
Lines closer than 0.1° are merged.

Most intense lines, 5° ≤ 2θ ≤ 70°, sorted by position:
- 16.4°, d 5.411, I 100
- 31.4°, d 2.848, I 69
- 32.2°, d 2.783, I 35
- 33.1°, d 2.706, I 63
- 38.0°, d 2.368, I 35
- 55.8°, d 1.648, I 33

Crystal structure
a b c (Å): 6.596 6.596 6.596
angles (deg): 118.96 118.96 91.81
Element x y z (fractional)
Ca 0.375 0.625 0.750
Ca 0.625 0.375 0.250
W 0.000 0.000 0.000
W 0.000 0.000 0.500
W 0.000 0.500 0.000
W 0.500 0.000 0.500
O 0.204 0.240 0.964
O 0.224 0.760 0.464
O 0.240 0.204 0.464
O 0.240 0.776 0.036
O 0.760 0.224 0.964
O 0.760 0.796 0.536
O 0.776 0.240 0.536
O 0.796 0.760 0.036

=====

# NaFeO2
Calculated powder diffractogram, Cu Ka. Input: a crystal structure in the Materials Project, relaxed with PBE+U.
Lines closer than 0.1° are merged.

Most intense lines, 5° ≤ 2θ ≤ 70°, sorted by position:
- 19.6°, d 4.529, I 48
- 20.4°, d 4.352, I 56
- 29.0°, d 3.077, I 52
- 30.9°, d 2.897, I 45
- 33.0°, d 2.718, I 64
- 33.5°, d 2.678, I 100

Crystal structure
a b c (Å): 5.794 7.263 5.436
angles (deg): 90.00 90.00 90.00
Element x y z (fractional)
Na 0.073 0.122 0.000
Na 0.427 0.622 0.500
Na 0.573 0.378 0.000
Na 0.927 0.878 0.500
Fe 0.067 0.627 0.987
Fe 0.433 0.127 0.487
Fe 0.567 0.873 0.987
Fe 0.933 0.373 0.487
O 0.047 0.592 0.638
O 0.113 0.161 0.568
O 0.387 0.661 0.068
O 0.453 0.092 0.138
O 0.547 0.908 0.638
O 0.613 0.339 0.568
O 0.887 0.839 0.068
O 0.953 0.408 0.138

=====

# Fe5O7F3
Calculated powder diffractogram, Cu Ka. Input: a crystal structure in the Materials Project, relaxed with PBE+U.
Lines closer than 0.1° are merged.

Most intense lines, 5° ≤ 2θ ≤ 70°, sorted by position:
- 26.7°, d 3.338, I 94
- 27.4°, d 3.256, I 92
- 35.1°, d 2.554, I 100
- 52.8°, d 1.733, I 55
- 53.6°, d 1.710, I 53
- 67.7°, d 1.385, I 37

Crystal structure
a b c (Å): 4.663 4.663 15.263
angles (deg): 90.03 90.03 91.42
Element x y z (fractional)
Fe 0.000 0.000 0.000
Fe 0.003 0.003 0.200
Fe 0.032 0.019 0.595
Fe 0.508 0.492 0.500
Fe 0.531 0.455 0.707
Fe 0.531 0.469 0.099
Fe 0.531 0.469 0.901
Fe 0.545 0.469 0.293
Fe 0.981 0.968 0.405
Fe 0.997 0.997 0.800
O 0.211 0.789 0.500
O 0.321 0.283 0.805
O 0.324 0.291 0.000
O 0.325 0.287 0.197
O 0.338 0.309 0.600
O 0.691 0.662 0.400
O 0.709 0.676 0.000
O 0.713 0.675 0.803
O 0.717 0.679 0.195
O 0.809 0.191 0.500
O 0.821 0.163 0.302
O 0.823 0.170 0.900
O 0.830 0.177 0.100
O 0.837 0.179 0.698
F 0.210 0.777 0.300
F 0.211 0.785 0.901
F 0.215 0.789 0.099
F 0.223 0.790 0.700
F 0.310 0.277 0.396
F 0.723 0.690 0.604